Calculated PXRD pattern
Compound: KTaCu2Se4
Radiation: CuKα
Structure: a structure optimized by DFT (PBE)

Main lines, sorted by position (2θ from 15° to 90°):
index	Position (°2θ)	d/Å	I (rel.)
0 1 1	16.15	5.488	50.3
0 5 1	27.91	3.197	64.0
2 1 1	28.03	3.183	66.6
1 2 2	34.64	2.589	33.9
2 4 2	43.46	2.082	100.0
2 6 2	48.56	1.875	41.1

Structure:
```
data_KTaCu2Se4
_symmetry_space_group_name_H-M 'A m a 2'
_symmetry_Int_Tables_number 40
_cell_length_a 7.815
_cell_length_b 19.269
_cell_length_c 5.726
_cell_angle_alpha 90.00
_cell_angle_beta 90.00
_cell_angle_gamma 90.00
loop_
_symmetry_equiv_pos_as_xyz
'x,y,z'
'-x,-y,z'
'-x+1/2,y,z'
'x+1/2,-y,z'
'x,y+1/2,z+1/2'
'-x,-y+1/2,z+1/2'
'-x+1/2,y+1/2,z+1/2'
'x+1/2,-y+1/2,z+1/2'
loop_
_atom_site_label
_atom_site_type_symbol
_atom_site_fract_x
_atom_site_fract_y
_atom_site_fract_z
K1 K 0.250 0.184 0.000
Ta1 Ta 0.250 0.392 0.737
Cu1 Cu 0.000 0.000 0.253
Cu2 Cu 0.250 0.393 0.237
Se1 Se 0.005 0.107 0.484
Se2 Se 0.250 0.290 0.489
Se3 Se 0.250 0.497 0.490
```

Calculated PXRD pattern
Compound: Pr2Sb
Radiation: CuKα
Structure: a structure optimized by DFT (PBE)

Main lines, sorted by position (2θ from 15° to 90°):
index	Position (°2θ)	d/Å	I (rel.)
1 1 2	29.11	3.068	100.0
0 0 6	29.88	2.991	38.6
1 0 5	31.58	2.833	32.3
1 1 4	33.96	2.640	84.6
2 0 0	39.02	2.308	58.8
2 0 6	49.90	1.828	41.3

Structure:
```
data_Pr2Sb
_symmetry_space_group_name_H-M 'I 4/m m m'
_symmetry_Int_Tables_number 139
_symmetry_space_group_name_Hall '-I 4 2'
_cell_length_a 4.617
_cell_length_b 4.617
_cell_length_c 17.944
_cell_angle_alpha 90.00
_cell_angle_beta 90.00
_cell_angle_gamma 90.00
loop_
_atom_site_label
_atom_site_type_symbol
_atom_site_fract_x
_atom_site_fract_y
_atom_site_fract_z
Pr1 Pr 0.000 0.000 0.180
Pr2 Pr 0.000 0.500 0.000
Sb1 Sb 0.000 0.000 0.362
```

Calculated PXRD pattern
Compound: Sm3Cr
Radiation: CuKα
Structure: a structure optimized by DFT (PBE)

Main lines, sorted by position (2θ from 15° to 90°):
index	Position (°2θ)	d/Å	I (rel.)
1 1 2	31.84	2.810	100.0
0 0 4	36.12	2.487	17.8
2 0 0	37.34	2.408	32.5
2 0 4	52.92	1.730	23.6
1 1 6	62.28	1.491	14.3
3 1 2	63.92	1.456	26.5

Structure:
```
data_Sm3Cr
_symmetry_space_group_name_H-M 'I 4/m m m'
_symmetry_Int_Tables_number 139
_symmetry_space_group_name_Hall '-I 4 2'
_cell_length_a 4.817
_cell_length_b 4.817
_cell_length_c 9.948
_cell_angle_alpha 90.00
_cell_angle_beta 90.00
_cell_angle_gamma 90.00
loop_
_atom_site_label
_atom_site_type_symbol
_atom_site_fract_x
_atom_site_fract_y
_atom_site_fract_z
Sm1 Sm 0.000 0.000 0.000
Sm2 Sm 0.000 0.500 0.250
Cr1 Cr 0.000 0.000 0.500
```

Calculated PXRD pattern
Compound: MnPb3N3
Radiation: CuKα
Structure: a structure optimized by DFT (PBE)

Main lines, sorted by position (2θ from 15° to 90°):
index	Position (°2θ)	d/Å	I (rel.)
1 1 1	28.72	3.109	88.1
2 0 1	31.84	2.810	100.0
0 0 2	33.06	2.710	46.8
1 2 0	36.15	2.485	54.8
1 2 2	49.79	1.831	44.0
3 1 1	52.99	1.728	33.6

Structure:
```
data_MnPb3N3
_symmetry_space_group_name_H-M 'P 63/m'
_symmetry_Int_Tables_number 176
_symmetry_space_group_name_Hall '-P 6c'
_cell_length_a 7.5906
_cell_length_b 7.5906
_cell_length_c 5.4191
_cell_angle_alpha 90.00
_cell_angle_beta 90.00
_cell_angle_gamma 120.00
loop_
_atom_site_label
_atom_site_type_symbol
_atom_site_fract_x
_atom_site_fract_y
_atom_site_fract_z
Mn1 Mn 0.3333 0.6667 0.2500
Pb1 Pb 0.1035 0.3642 0.7500
N1 N 0.1237 0.4262 0.2500
```